Starting from a PBE-relaxed structure, the powder X-ray diffraction pattern of Li2Al2Bi was simulated for λ = 1.5418 Å (Cu Kα).
Neutral-atom scattering factors, no anomalous dispersion.

Atomic structure:
```
data_Li2Al2Bi
_symmetry_space_group_name_H-M 'I 4/m m m'
_symmetry_Int_Tables_number 139
_symmetry_space_group_name_Hall '-I 4 2'
_cell_length_a 4.064
_cell_length_b 4.064
_cell_length_c 13.166
_cell_angle_alpha 90.00
_cell_angle_beta 90.00
_cell_angle_gamma 90.00
loop_
_atom_site_label
_atom_site_type_symbol
_atom_site_fract_x
_atom_site_fract_y
_atom_site_fract_z
Li1 Li 0.000 0.500 0.250
Al1 Al 0.000 0.000 0.099
Bi1 Bi 0.000 0.000 0.500
```

The 10 most intense peaks (10° ≤ 2θ ≤ 90°), most intense first:
(hkl), 2θ/deg, I_rel
0 0 2, 13.45, 100
1 0 3, 29.97, 68
1 0 1, 22.90, 68
1 1 2, 34.05, 54
1 0 5, 40.84, 41
1 1 0, 31.13, 39
2 1 3, 54.67, 26
2 1 5, 62.05, 24
2 0 2, 46.79, 19
2 1 1, 50.71, 18

Starting from a PBE-relaxed structure, the powder X-ray diffraction pattern of LuAl4Bi was simulated for λ = 1.5418 Å (Cu Kα).
Neutral-atom scattering factors, no anomalous dispersion.

Atomic structure:
```
data_LuAl4Bi
_symmetry_space_group_name_H-M 'F -4 3 m'
_symmetry_Int_Tables_number 216
_symmetry_space_group_name_Hall 'F -4 2 3'
_cell_length_a 7.891
_cell_length_b 7.891
_cell_length_c 7.891
_cell_angle_alpha 90.00
_cell_angle_beta 90.00
_cell_angle_gamma 90.00
loop_
_atom_site_label
_atom_site_type_symbol
_atom_site_fract_x
_atom_site_fract_y
_atom_site_fract_z
Lu1 Lu 0.000 0.000 0.000
Al1 Al 0.125 0.125 0.625
Bi1 Bi 0.250 0.250 0.250
```

The 10 most intense peaks (10° ≤ 2θ ≤ 90°), most intense first:
(hkl), 2θ/deg, I_rel
2 2 0, 32.08, 100
3 1 1, 37.81, 94
1 1 1, 19.48, 70
4 2 2, 57.19, 40
5 1 1, 61.01, 31
4 4 0, 67.10, 20
3 3 1, 50.41, 19
6 2 0, 76.32, 17
5 3 1, 70.61, 14
5 3 3, 79.68, 11

Starting from a PBE-relaxed structure, the powder X-ray diffraction pattern of MgAlSnBi was simulated for λ = 1.5418 Å (Cu Kα).
Neutral-atom scattering factors, no anomalous dispersion.

Atomic structure:
```
data_MgAlSnBi
_symmetry_space_group_name_H-M 'F -4 3 m'
_symmetry_Int_Tables_number 216
_symmetry_space_group_name_Hall 'F -4 2 3'
_cell_length_a 7.349
_cell_length_b 7.349
_cell_length_c 7.349
_cell_angle_alpha 90.00
_cell_angle_beta 90.00
_cell_angle_gamma 90.00
loop_
_atom_site_label
_atom_site_type_symbol
_atom_site_fract_x
_atom_site_fract_y
_atom_site_fract_z
Mg1 Mg 0.000 0.000 0.000
Al1 Al 0.000 0.000 0.500
Sn1 Sn 0.250 0.250 0.250
Bi1 Bi 0.250 0.250 0.750
```

The 10 most intense peaks (10° ≤ 2θ ≤ 90°), most intense first:
(hkl), 2θ/deg, I_rel
2 2 0, 34.52, 100
2 0 0, 24.22, 62
4 2 2, 61.85, 38
4 2 0, 55.96, 28
2 2 2, 42.62, 20
4 0 0, 49.62, 18
6 2 0, 83.13, 17
6 0 0, 78.01, 14
4 4 0, 72.80, 12
1 1 1, 20.94, 11